Theoretical PXRD pattern
Compound: BaAl9Ag4
Radiation: Cu Kα (weighted mean of Kα1 and Kα2)
Structure: a PBE-relaxed structure
Peak positions follow from Bragg's law for the DFT cell and can differ from measured ones.

Most intense lines, 15° ≤ 2θ ≤ 90°, in order of rising 2θ:
- 2θ 23.1, I 89.9
- 2θ 28.1, I 28.8
- 2θ 29.9, I 56.2
- 2θ 30.1, I 47.3
- 2θ 31.5, I 77.6
- 2θ 33.3, I 100.0
- 2θ 34.3, I 56.5
- 2θ 40.4, I 70.6
- 2θ 42.0, I 72.3
- 2θ 51.0, I 50.5

Atomic structure:
Cell: 9.241 9.241 9.241 Å, 121.82 121.82 86.88°
Fractional positions:
Ba (0.250, 0.250, 0.000)
Ba (0.750, 0.750, 0.000)
Al (0.000, 0.500, 0.500)
Al (0.055, 0.555, 0.256)
Al (0.068, 0.796, 0.863)
Al (0.201, 0.945, 0.500)
Al (0.204, 0.068, 0.272)
Al (0.296, 0.568, 0.863)
Al (0.299, 0.799, 0.744)
Al (0.432, 0.296, 0.728)
Al (0.445, 0.701, 0.500)
Al (0.500, 0.000, 0.500)
Al (0.555, 0.299, 0.500)
Al (0.568, 0.704, 0.272)
Al (0.701, 0.201, 0.256)
Al (0.704, 0.432, 0.137)
Al (0.796, 0.932, 0.728)
Al (0.799, 0.055, 0.500)
Al (0.932, 0.204, 0.137)
Al (0.945, 0.445, 0.744)
Ag (0.048, 0.201, 0.500)
Ag (0.201, 0.701, 0.153)
Ag (0.299, 0.452, 0.500)
Ag (0.452, 0.952, 0.153)
Ag (0.548, 0.048, 0.847)
Ag (0.701, 0.548, 0.500)
Ag (0.799, 0.299, 0.847)
Ag (0.952, 0.799, 0.500)